# KNaMg14O15
Calculated powder XRD pattern, CuKα. Input: a crystal structure in the Materials Project, relaxed with PBE.
Kinematic intensities with the Lorentz-polarization factor, no thermal factor.

```
KNaMg14O15
1.0
4.3895 0.0000 0.0000
0.0000 8.8416 0.0000
0.0000 0.0000 8.4933
K Na Mg O
1 1 14 15
Cartesian
0.0000 0.0000 0.0000 K
0.0000 4.4208 0.6968 Na
0.0000 0.0000 4.6781 Mg
0.0000 2.1842 2.6369 Mg
0.0000 2.5004 7.0620 Mg
0.0000 4.4208 4.8509 Mg
0.0000 6.3412 7.0620 Mg
0.0000 6.6574 2.6369 Mg
2.1948 0.0000 2.5739 Mg
2.1948 0.0000 7.0131 Mg
2.1948 2.1788 4.8801 Mg
2.1948 2.2793 0.6466 Mg
2.1948 4.4208 2.7299 Mg
2.1948 4.4208 7.0372 Mg
2.1948 6.5623 0.6466 Mg
2.1948 6.6628 4.8801 Mg
0.0000 0.0000 2.7600 O
0.0000 2.0592 5.0206 O
0.0000 2.2773 0.5852 O
0.0000 4.4208 2.9131 O
0.0000 4.4208 6.8400 O
0.0000 6.5644 0.5852 O
0.0000 6.7824 5.0206 O
2.1948 0.0000 0.5715 O
2.1948 0.0000 5.0054 O
2.1948 2.1136 7.0092 O
2.1948 2.1861 2.7790 O
2.1948 4.4208 0.5954 O
2.1948 4.4208 4.9236 O
2.1948 6.6555 2.7790 O
2.1948 6.7280 7.0092 O
```

The 8 most intense peaks (10 to 90 degrees two-theta), in order of rising 2θ:
2theta  d (Å)  Rel. int.
35.75  2.512  37
40.82  2.210  96
41.13  2.195  100
42.58  2.123  72
59.34  1.557  54
60.46  1.531  42
60.69  1.526  43
75.74  1.256  37

---

# KNaMg14O15
Calculated powder XRD pattern, CuKα. Input: a crystal structure in the Materials Project, relaxed with PBE.
Kinematic intensities with the Lorentz-polarization factor, no thermal factor.

```
KNaMg14O15
1.0
4.4169 0.0000 0.0000
0.0000 8.7947 0.0000
0.0000 0.0000 8.4745
K Na Mg O
1 1 14 15
Cartesian
0.0000 0.0000 0.0000 K
0.0000 4.3973 4.7190 Na
0.0000 0.0000 4.5469 Mg
0.0000 2.1994 2.5649 Mg
0.0000 2.4747 6.8780 Mg
0.0000 4.3973 0.5580 Mg
0.0000 6.3200 6.8780 Mg
0.0000 6.5952 2.5649 Mg
2.2084 0.0000 2.5092 Mg
2.2084 0.0000 6.8478 Mg
2.2084 2.1995 4.7636 Mg
2.2084 2.2411 0.5382 Mg
2.2084 4.3973 2.6802 Mg
2.2084 4.3973 6.8612 Mg
2.2084 6.5536 0.5382 Mg
2.2084 6.5952 4.7636 Mg
0.0000 0.0000 2.6173 O
0.0000 1.9697 4.9151 O
0.0000 2.3717 0.4724 O
0.0000 4.3973 2.5597 O
0.0000 4.3973 6.9541 O
0.0000 6.4229 0.4724 O
0.0000 6.8250 4.9151 O
2.2084 0.0000 0.4701 O
2.2084 0.0000 4.8408 O
2.2084 2.0976 6.8987 O
2.2084 2.1832 2.6558 O
2.2084 4.3973 0.4907 O
2.2084 4.3973 4.8079 O
2.2084 6.6115 2.6558 O
2.2084 6.6971 6.8987 O
```

The 8 most intense peaks (10 to 90 degrees two-theta), in order of rising 2θ:
2theta  d (Å)  Rel. int.
35.77  2.510  39
40.86  2.208  100
41.05  2.199  91
42.68  2.119  77
59.31  1.558  53
60.56  1.529  45
60.71  1.526  43
75.78  1.255  38